KPtNCl3O: simulated powder X-ray diffraction pattern (copper Kα), based on a cell relaxed with PBE.

Most intense lines, 10 to 80 degrees two-theta, by angle:
2theta  intensity
13.9  100
20.7  25
21.0  32
23.3  88
24.4  82
27.1  22
30.0  22
33.6  32
38.7  27
43.6  22

Atomic structure:
```
data_KPtNCl3O
_chemical_formula_sum 'K2 Pt2 N2 Cl6 O2'
_symmetry_space_group_name_H-M 'P 1'
_symmetry_Int_Tables_number 1
_cell_length_a 10.098
_cell_length_b 10.098
_cell_length_c 8.307
_cell_angle_alpha 90.00
_cell_angle_beta 90.00
_cell_angle_gamma 154.87
loop_
_symmetry_equiv_pos_as_xyz
'x,y,z'
loop_
_atom_site_label
_atom_site_fract_x
_atom_site_fract_y
_atom_site_fract_z
_atom_site_occupancy
K1 0.042 0.958 0.500 1
K2 0.958 0.042 0.000 1
Pt1 0.337 0.663 0.688 1
Pt2 0.663 0.337 0.188 1
N1 0.247 0.753 0.682 1
N2 0.753 0.247 0.182 1
Cl1 0.339 0.661 0.969 1
Cl2 0.350 0.650 0.411 1
Cl3 0.460 0.540 0.705 1
Cl4 0.540 0.460 0.205 1
Cl5 0.650 0.350 0.911 1
Cl6 0.661 0.339 0.469 1
O1 0.080 0.920 0.828 1
O2 0.920 0.080 0.328 1
```